Calculated powder diffractogram of LiZr2InPd for Cu Kα (weighted mean of Kα1 and Kα2), from a structure optimized by DFT (GGA-PBE).
Intensities are scaled so that the largest is 100.

Structural model:
```
data_LiZr2InPd
_chemical_formula_sum 'Li1 Zr2 In1 Pd1'
_cell_length_a 5.107
_cell_length_b 5.107
_cell_length_c 4.479
_cell_angle_alpha 90.00
_cell_angle_beta 90.00
_cell_angle_gamma 90.00
_space_group_name_H-M_alt 'P 4/m m m'
_space_group_IT_number 123
_space_group_name_Hall '-P 4 2'
loop_
_atom_site_label
_atom_site_fract_x
_atom_site_fract_y
_atom_site_fract_z
Li1 0.000 0.000 0.000
Zr1 0.000 0.500 0.500
In1 0.500 0.500 0.000
Pd1 0.000 0.000 0.500
```

Peak list (10 most intense, 2θ from 10° to 80°, sorted by position)
- 2θ 19.8, d 4.479, I 32, hkl 0 0 1
- 2θ 26.5, d 3.367, I 100, hkl 1 0 1
- 2θ 31.8, d 2.811, I 51, hkl 1 1 1
- 2θ 35.1, d 2.553, I 85, hkl 2 0 0
- 2θ 40.3, d 2.239, I 29, hkl 0 0 2
- 2θ 40.7, d 2.218, I 19, hkl 2 0 1
- 2θ 44.5, d 2.035, I 48, hkl 2 1 1
- 2θ 50.5, d 1.806, I 29, hkl 2 2 0
- 2θ 54.5, d 1.684, I 47, hkl 2 0 2
- 2θ 66.5, d 1.406, I 25, hkl 2 2 2



Calculated powder diffractogram of Li2Pm3In6 for Cu Kα (weighted mean of Kα1 and Kα2), from a structure optimized by DFT (GGA-PBE).
Intensities are scaled so that the largest is 100.

Structural model:
```
data_Li2Pm3In6
_chemical_formula_sum 'Li4 Pm6 In12'
_cell_length_a 4.615
_cell_length_b 4.615
_cell_length_c 26.089
_cell_angle_alpha 90.00
_cell_angle_beta 90.00
_cell_angle_gamma 90.00
_space_group_name_H-M_alt 'I 4/m m m'
_space_group_IT_number 139
_space_group_name_Hall '-I 4 2'
loop_
_atom_site_label
_atom_site_fract_x
_atom_site_fract_y
_atom_site_fract_z
Li1 0.000 0.000 0.046
Pm1 0.000 0.000 0.305
Pm2 0.000 0.000 0.500
In1 0.000 0.000 0.183
In2 0.000 0.500 0.099
```

Peak list (10 most intense, 2θ from 10° to 80°, sorted by position)
- 2θ 13.6, d 6.522, I 9, hkl 0 0 4
- 2θ 25.8, d 3.457, I 11, hkl 1 0 5
- 2θ 28.2, d 3.166, I 24, hkl 1 1 2
- 2θ 30.6, d 2.918, I 40, hkl 1 1 4
- 2θ 34.4, d 2.610, I 100, hkl 0 0 10
- 2θ 39.0, d 2.307, I 62, hkl 2 0 0
- 2θ 53.0, d 1.728, I 28, hkl 2 0 10
- 2θ 56.4, d 1.632, I 16, hkl 2 2 0
- 2θ 63.8, d 1.459, I 17, hkl 1 1 16
- 2θ 67.7, d 1.383, I 33, hkl 2 2 10



Calculated powder diffractogram of Li4PmIn4 for Cu Kα (weighted mean of Kα1 and Kα2), from a structure optimized by DFT (GGA-PBE).
Intensities are scaled so that the largest is 100.

Structural model:
```
data_Li4PmIn4
_chemical_formula_sum 'Li8 Pm2 In8'
_cell_length_a 6.303
_cell_length_b 6.303
_cell_length_c 9.928
_cell_angle_alpha 90.00
_cell_angle_beta 90.00
_cell_angle_gamma 90.00
_space_group_name_H-M_alt 'P 42/n m c'
_space_group_IT_number 137
loop_
_space_group_symop_operation_xyz
'x,y,z'
'-x,-y,-z'
'-y+1/2,x,z+1/2'
'y+1/2,-x,-z+1/2'
'-x+1/2,-y+1/2,z'
'x+1/2,y+1/2,-z'
'y,-x+1/2,z+1/2'
'-y,x+1/2,-z+1/2'
'x+1/2,-y,-z'
'-x+1/2,y,z'
'-y,-x,-z+1/2'
'y,x,z+1/2'
'-x,y+1/2,-z'
'x,-y+1/2,z'
'y+1/2,x+1/2,-z+1/2'
'-y+1/2,-x+1/2,z+1/2'
loop_
_atom_site_label
_atom_site_fract_x
_atom_site_fract_y
_atom_site_fract_z
Li1 0.033 0.250 0.176
Pm1 0.250 0.750 0.250
In1 0.016 0.250 0.464
```

Peak list (10 most intense, 2θ from 10° to 80°, sorted by position)
- 2θ 16.7, d 5.321, I 17, hkl 1 0 1
- 2θ 17.9, d 4.964, I 30, hkl 0 0 2
- 2θ 26.9, d 3.316, I 23, hkl 1 1 2
- 2θ 29.7, d 3.004, I 100, hkl 2 0 1
- 2θ 30.5, d 2.930, I 37, hkl 1 0 3
- 2θ 33.0, d 2.712, I 36, hkl 2 1 1
- 2θ 39.5, d 2.282, I 34, hkl 2 0 3
- 2θ 44.6, d 2.033, I 50, hkl 2 2 2
- 2θ 56.7, d 1.623, I 22, hkl 2 1 5
- 2θ 67.1, d 1.395, I 17, hkl 4 2 1



> Which formula does entry 2 have?

Li2Pm3In6